Theoretical powder XRD pattern of La2UAs3 for CuKα, from a structure optimized by DFT (GGA-PBE).
Peak positions follow from Bragg's law for the DFT cell and can differ from measured ones.

Principal peaks in the range 2θ = 10–90°, by intensity:
d (Å), two_theta, I (rel.)
2.139, 42.25, 100
3.028, 29.50, 89
3.020, 29.58, 44
1.747, 52.38, 35
3.493, 25.50, 34
1.354, 69.40, 23
1.236, 77.21, 23
1.352, 69.54, 22
1.825, 49.96, 11
1.514, 61.22, 11

Crystal structure
```
6
Lattice="0.0000 3.0301 9.0601 3.0257 0.0000 9.0601 3.0257 3.0301 0.0000" Properties=species:S:1:pos:R:3 pbc="T T T"
La 3.0257 3.0301 3.0194
La 3.0257 3.0301 15.1008
U 3.0257 3.0301 9.0601
As 0.0000 0.0000 0.0000
As 3.0257 3.0301 6.1517
As 3.0257 3.0301 11.9685
```